Record 1
Starting from a DFT-relaxed cell (PBE+U, Alexandria), the X-ray powder pattern of CaPr2Mn3O9 was computed for Cu Kα (weighted mean of Kα1 and Kα2).

Principal peaks in the range 15° ≤ 2θ ≤ 90°, sorted by position:
2theta, d (Å), intensity
17.37, 5.105, 459
20.29, 4.377, 759
25.76, 3.459, 260
26.19, 3.403, 1000
29.29, 3.049, 397
29.93, 2.985, 468
32.15, 2.784, 296
33.11, 2.706, 281

Crystal structure
Unit cell a=5.7049 b=6.3137 c=6.6985 alpha=84.55 beta=68.57 gamma=73.16
Positions (direct):
1 Ca 0.0000 0.0000 0.0000
2 Pr 0.2744 0.8796 0.4566
3 Pr 0.4561 0.3030 0.7043
4 Mn 0.3514 0.4239 0.2164
5 Mn 0.7033 0.7717 0.8116
6 Mn 0.8728 0.5640 0.1216
7 O 0.0554 0.6262 0.8135
8 O 0.1078 0.6965 0.2498
9 O 0.1586 0.2899 0.0866
10 O 0.2650 0.2513 0.4480
11 O 0.4017 0.9267 0.7429
12 O 0.5737 0.4925 0.3567
13 O 0.5935 0.4855 0.9382
14 O 0.6486 0.8601 0.1332
15 O 0.8390 0.0229 0.7003

Record 2
Starting from a DFT-relaxed cell (PBE+U, Alexandria), the X-ray powder pattern of CaPr2MnO5 was computed for Cu Kα (weighted mean of Kα1 and Kα2).

Principal peaks in the range 15° ≤ 2θ ≤ 90°, sorted by position:
2theta, d (Å), intensity
15.45, 5.735, 686
29.46, 3.032, 372
30.64, 2.918, 829
31.19, 2.868, 373
33.43, 2.680, 1000
43.44, 2.083, 697
58.39, 1.580, 251
65.43, 1.426, 282

Crystal structure
Unit cell a=6.7788 b=6.7788 c=5.7352 alpha=90.00 beta=90.00 gamma=90.00
Positions (direct):
1 Ca 0.0000 0.0000 0.0000
2 Ca 0.5000 0.5000 0.0000
3 Pr 0.1729 0.3271 0.5000
4 Pr 0.3271 0.8271 0.5000
5 Pr 0.6729 0.1729 0.5000
6 Pr 0.8271 0.6729 0.5000
7 Mn 0.0000 0.5000 0.0000
8 Mn 0.5000 0.0000 0.0000
9 O 0.0000 0.0000 0.5000
10 O 0.1390 0.6390 0.2372
11 O 0.1390 0.6390 0.7628
12 O 0.3610 0.1390 0.2372
13 O 0.3610 0.1390 0.7628
14 O 0.5000 0.5000 0.5000
15 O 0.6390 0.8610 0.2372
16 O 0.6390 0.8610 0.7628
17 O 0.8610 0.3610 0.2372
18 O 0.8610 0.3610 0.7628

Record 3
Starting from a DFT-relaxed cell (PBE+U, Alexandria), the X-ray powder pattern of CaPrMnSbO6 was computed for Cu Kα (weighted mean of Kα1 and Kα2).

Principal peaks in the range 15° ≤ 2θ ≤ 90°, sorted by position:
2theta, d (Å), intensity
19.00, 4.672, 300
31.26, 2.861, 1000
36.84, 2.440, 167
44.80, 2.023, 348
49.07, 1.856, 73
55.64, 1.652, 386
65.22, 1.430, 204
74.10, 1.279, 165

Crystal structure
Unit cell a=5.7220 b=5.7220 c=5.7220 alpha=60.00 beta=60.00 gamma=60.00
Positions (direct):
1 Ca 0.0000 0.0000 0.0000
2 Pr 0.5000 0.5000 0.5000
3 Mn 0.2500 0.2500 0.2500
4 Sb 0.7500 0.7500 0.7500
5 O 0.5064 0.5064 0.9936
6 O 0.5064 0.9936 0.5064
7 O 0.5064 0.9936 0.9936
8 O 0.9936 0.5064 0.5064
9 O 0.9936 0.5064 0.9936
10 O 0.9936 0.9936 0.5064

Record 4
Starting from a DFT-relaxed cell (PBE+U, Alexandria), the X-ray powder pattern of CaPuMn2O8 was computed for Cu Kα (weighted mean of Kα1 and Kα2).

Principal peaks in the range 15° ≤ 2θ ≤ 90°, sorted by position:
2theta, d (Å), intensity
17.87, 4.963, 571
18.40, 4.823, 798
25.38, 3.509, 1000
31.53, 2.838, 309
32.45, 2.759, 858
36.20, 2.482, 195
37.29, 2.411, 190
49.40, 1.845, 649

Crystal structure
Unit cell a=5.9707 b=5.9707 c=5.9707 alpha=108.00 beta=108.00 gamma=112.46
Positions (direct):
1 Ca 0.0000 0.0000 0.0000
2 Pu 0.2500 0.7500 0.5000
3 Mn 0.5000 0.5000 0.0000
4 Mn 0.7500 0.2500 0.5000
5 O 0.3015 0.0827 0.7811
6 O 0.3015 0.5204 0.2189
7 O 0.4000 0.0816 0.3184
8 O 0.4796 0.6985 0.7811
9 O 0.7632 0.0816 0.6816
10 O 0.9173 0.6985 0.2189
11 O 0.9184 0.2368 0.3184
12 O 0.9184 0.6000 0.6816

Record 5
Starting from a DFT-relaxed cell (PBE+U, Alexandria), the X-ray powder pattern of RbCaMnO3 was computed for Cu Kα (weighted mean of Kα1 and Kα2).

Principal peaks in the range 15° ≤ 2θ ≤ 90°, sorted by position:
2theta, d (Å), intensity
30.57, 2.924, 394
31.25, 2.862, 536
31.66, 2.826, 393
32.84, 2.727, 1000
42.13, 2.145, 277
47.32, 1.921, 241
55.11, 1.667, 190
58.09, 1.588, 231

Crystal structure
Unit cell a=6.9317 b=6.9317 c=7.7462 alpha=104.34 beta=104.34 gamma=32.18
Positions (direct):
1 Rb 0.1527 0.1527 0.0709
2 Rb 0.8473 0.8473 0.9291
3 Ca 0.1583 0.1583 0.5747
4 Ca 0.8417 0.8417 0.4253
5 Mn 0.4918 0.4918 0.7057
6 Mn 0.5082 0.5082 0.2943
7 O 0.0089 0.0089 0.3136
8 O 0.3417 0.3417 0.6351
9 O 0.3614 0.3614 0.2356
10 O 0.6386 0.6386 0.7644
11 O 0.6583 0.6583 0.3649
12 O 0.9911 0.9911 0.6864

Record 6
Starting from a DFT-relaxed cell (PBE+U, Alexandria), the X-ray powder pattern of SrCaMnRuO6 was computed for Cu Kα (weighted mean of Kα1 and Kα2).

Principal peaks in the range 15° ≤ 2θ ≤ 90°, sorted by position:
2theta, d (Å), intensity
31.39, 2.850, 500
31.88, 2.807, 494
32.23, 2.777, 1000
32.46, 2.758, 945
45.35, 2.000, 645
47.43, 1.917, 311
56.89, 1.619, 239
57.99, 1.590, 305

Crystal structure
Unit cell a=5.6140 b=5.6997 c=7.6682 alpha=90.00 beta=90.56 gamma=90.00
Positions (direct):
1 Sr 0.2443 0.0000 0.9998
2 Sr 0.7557 0.5000 0.0002
3 Ca 0.2583 0.9104 0.4995
4 Ca 0.7417 0.4104 0.5005
5 Mn 0.2478 0.4598 0.7464
6 Mn 0.7522 0.9598 0.2536
7 Ru 0.2487 0.4606 0.2557
8 Ru 0.7513 0.9606 0.7443
9 O 0.0302 0.7587 0.7807
10 O 0.0504 0.7426 0.2182
11 O 0.1604 0.4907 0.5041
12 O 0.3185 0.4482 0.9976
13 O 0.4505 0.1804 0.2983
14 O 0.4670 0.1619 0.7022
15 O 0.5330 0.6619 0.2978
16 O 0.5495 0.6804 0.7017
17 O 0.6815 0.9482 0.0024
18 O 0.8396 0.9907 0.4959
19 O 0.9496 0.2426 0.7818
20 O 0.9698 0.2587 0.2193

Repeat the first record exactly.
Starting from a DFT-relaxed cell (PBE+U, Alexandria), the X-ray powder pattern of CaPr2Mn3O9 was computed for Cu Kα (weighted mean of Kα1 and Kα2).

Principal peaks in the range 15° ≤ 2θ ≤ 90°, sorted by position:
2theta, d (Å), intensity
17.37, 5.105, 459
20.29, 4.377, 759
25.76, 3.459, 260
26.19, 3.403, 1000
29.29, 3.049, 397
29.93, 2.985, 468
32.15, 2.784, 296
33.11, 2.706, 281

Crystal structure
Unit cell a=5.7049 b=6.3137 c=6.6985 alpha=84.55 beta=68.57 gamma=73.16
Positions (direct):
1 Ca 0.0000 0.0000 0.0000
2 Pr 0.2744 0.8796 0.4566
3 Pr 0.4561 0.3030 0.7043
4 Mn 0.3514 0.4239 0.2164
5 Mn 0.7033 0.7717 0.8116
6 Mn 0.8728 0.5640 0.1216
7 O 0.0554 0.6262 0.8135
8 O 0.1078 0.6965 0.2498
9 O 0.1586 0.2899 0.0866
10 O 0.2650 0.2513 0.4480
11 O 0.4017 0.9267 0.7429
12 O 0.5737 0.4925 0.3567
13 O 0.5935 0.4855 0.9382
14 O 0.6486 0.8601 0.1332
15 O 0.8390 0.0229 0.7003

Copy entry 2 word for word.
Starting from a DFT-relaxed cell (PBE+U, Alexandria), the X-ray powder pattern of CaPr2MnO5 was computed for Cu Kα (weighted mean of Kα1 and Kα2).

Principal peaks in the range 15° ≤ 2θ ≤ 90°, sorted by position:
2theta, d (Å), intensity
15.45, 5.735, 686
29.46, 3.032, 372
30.64, 2.918, 829
31.19, 2.868, 373
33.43, 2.680, 1000
43.44, 2.083, 697
58.39, 1.580, 251
65.43, 1.426, 282

Crystal structure
Unit cell a=6.7788 b=6.7788 c=5.7352 alpha=90.00 beta=90.00 gamma=90.00
Positions (direct):
1 Ca 0.0000 0.0000 0.0000
2 Ca 0.5000 0.5000 0.0000
3 Pr 0.1729 0.3271 0.5000
4 Pr 0.3271 0.8271 0.5000
5 Pr 0.6729 0.1729 0.5000
6 Pr 0.8271 0.6729 0.5000
7 Mn 0.0000 0.5000 0.0000
8 Mn 0.5000 0.0000 0.0000
9 O 0.0000 0.0000 0.5000
10 O 0.1390 0.6390 0.2372
11 O 0.1390 0.6390 0.7628
12 O 0.3610 0.1390 0.2372
13 O 0.3610 0.1390 0.7628
14 O 0.5000 0.5000 0.5000
15 O 0.6390 0.8610 0.2372
16 O 0.6390 0.8610 0.7628
17 O 0.8610 0.3610 0.2372
18 O 0.8610 0.3610 0.7628